Rb4Ce3USe8: simulated powder diffractogram (Cu Kα, 1.54184 Å), based on a crystal structure in Alexandria, relaxed with GGA-PBE.
Intensities are scaled so that the largest is 100.

Structural model:
```
data_Rb4Ce3USe8
_chemical_formula_sum 'Rb4 Ce3 U1 Se8'
_cell_length_a 9.468
_cell_length_b 9.468
_cell_length_c 9.468
_cell_angle_alpha 55.02
_cell_angle_beta 55.02
_cell_angle_gamma 55.02
_space_group_name_H-M_alt 'P 1'
_space_group_IT_number 1
loop_
_space_group_symop_operation_xyz
'x,y,z'
loop_
_atom_site_label
_atom_site_type_symbol
_atom_site_fract_x
_atom_site_fract_y
_atom_site_fract_z
Rb1 Rb 0.000 0.000 0.000
Rb2 Rb 0.000 0.500 0.500
Rb3 Rb 0.500 0.000 0.500
Rb4 Rb 0.500 0.500 0.000
Ce1 Ce 0.000 0.000 0.500
Ce2 Ce 0.000 0.500 0.000
Ce3 Ce 0.500 0.000 0.000
U1 U 0.500 0.500 0.500
Se1 Se 0.234 0.234 0.234
Se2 Se 0.239 0.730 0.730
Se3 Se 0.270 0.270 0.761
Se4 Se 0.270 0.761 0.270
Se5 Se 0.730 0.239 0.730
Se6 Se 0.730 0.730 0.239
Se7 Se 0.761 0.270 0.270
Se8 Se 0.766 0.766 0.766
```

Most intense lines, 2θ = 15–90°, low angle first:
| d (Å) | Position (°2θ) | Rel. int. |
| --- | --- | --- |
| 3.204 | 27.8 | 100 |
| 2.353 | 38.2 | 34 |
| 2.187 | 41.3 | 37 |
| 1.806 | 50.5 | 19 |
| 1.392 | 67.2 | 16 |
| 1.292 | 73.3 | 15 |